[1]
The following is a calculated powder X-ray diffraction pattern of NdO. It was derived from a structure optimized by DFT (PBE), using Cu Kα X-rays.
No peak broadening, texture or thermal motion is included.

Atomic structure:
```
data_NdO
_cell_length_a 3.5594
_cell_length_b 3.5594
_cell_length_c 5.9749
_cell_angle_alpha 90.00
_cell_angle_beta 90.00
_cell_angle_gamma 120.00
_symmetry_space_group_name_H-M 'P 1'
_symmetry_Int_Tables_number 1
loop_
_symmetry_equiv_pos_as_xyz
'x,y,z'
loop_
_atom_site_label
_atom_site_type_symbol
_atom_site_fract_x
_atom_site_fract_y
_atom_site_fract_z
Nd1 Nd 0.3333 0.6667 0.2500
Nd2 Nd 0.6667 0.3333 0.7500
O1 O 0.0000 0.0000 0.0000
O2 O 0.0000 0.0000 0.5000
```

Peak list (8 most intense, 10° ≤ 2θ ≤ 90°, by angle)
| Position (°2θ) | intensity |
| --- | --- |
| 29.91 | 22 |
| 32.69 | 100 |
| 42.12 | 25 |
| 51.34 | 23 |
| 54.88 | 23 |
| 60.56 | 19 |
| 62.19 | 20 |
| 84.75 | 24 |

[2]
The following is a calculated powder X-ray diffraction pattern of Nd2O3. It was derived from a structure optimized by DFT (PBE), using Cu Kα X-rays.
No peak broadening, texture or thermal motion is included.

Atomic structure:
```
data_Nd2O3
_cell_length_a 9.6831
_cell_length_b 9.6831
_cell_length_c 9.6831
_cell_angle_alpha 109.47
_cell_angle_beta 109.47
_cell_angle_gamma 109.47
_symmetry_space_group_name_H-M 'P 1'
_symmetry_Int_Tables_number 1
loop_
_symmetry_equiv_pos_as_xyz
'x,y,z'
loop_
_atom_site_label
_atom_site_type_symbol
_atom_site_fract_x
_atom_site_fract_y
_atom_site_fract_z
Nd1 Nd 0.0000 0.0000 0.5000
Nd2 Nd 0.0000 0.5000 0.0000
Nd3 Nd 0.0308 0.7500 0.7808
Nd4 Nd 0.2192 0.9692 0.2500
Nd5 Nd 0.2500 0.2192 0.9692
Nd6 Nd 0.2500 0.7192 0.4692
Nd7 Nd 0.2808 0.5308 0.7500
Nd8 Nd 0.4692 0.2500 0.7192
Nd9 Nd 0.5000 0.0000 0.0000
Nd10 Nd 0.5000 0.5000 0.5000
Nd11 Nd 0.5308 0.7500 0.2808
Nd12 Nd 0.7192 0.4692 0.2500
Nd13 Nd 0.7500 0.2808 0.5308
Nd14 Nd 0.7500 0.7808 0.0308
Nd15 Nd 0.7808 0.0308 0.7500
Nd16 Nd 0.9692 0.2500 0.2192
O1 O 0.0120 0.0402 0.2710
O2 O 0.0282 0.4880 0.7590
O3 O 0.0402 0.2710 0.0120
O4 O 0.2290 0.2692 0.7410
O5 O 0.2308 0.4598 0.4718
O6 O 0.2410 0.9718 0.5120
O7 O 0.2590 0.7710 0.7308
O8 O 0.2692 0.7410 0.2290
O9 O 0.2710 0.0120 0.0402
O10 O 0.4598 0.4718 0.2308
O11 O 0.4718 0.2308 0.4598
O12 O 0.4880 0.7590 0.0282
O13 O 0.5120 0.2410 0.9718
O14 O 0.5282 0.7692 0.5402
O15 O 0.5402 0.5282 0.7692
O16 O 0.7290 0.9880 0.9598
O17 O 0.7308 0.2590 0.7710
O18 O 0.7410 0.2290 0.2692
O19 O 0.7590 0.0282 0.4880
O20 O 0.7692 0.5402 0.5282
O21 O 0.7710 0.7308 0.2590
O22 O 0.9598 0.7290 0.9880
O23 O 0.9718 0.5120 0.2410
O24 O 0.9880 0.9598 0.7290
```

Peak list (8 most intense, 10° ≤ 2θ ≤ 90°, by angle)
| Position (°2θ) | intensity |
| --- | --- |
| 19.45 | 9 |
| 27.64 | 100 |
| 32.02 | 34 |
| 41.17 | 8 |
| 45.91 | 41 |
| 54.43 | 34 |
| 73.89 | 10 |
| 76.15 | 7 |

[3]
The following is a calculated powder X-ray diffraction pattern of NdOsO4. It was derived from a structure optimized by DFT (PBE), using Cu Kα X-rays.
No peak broadening, texture or thermal motion is included.

Atomic structure:
```
data_NdOsO4
_cell_length_a 15.2107
_cell_length_b 7.6032
_cell_length_c 5.4958
_cell_angle_alpha 90.00
_cell_angle_beta 90.00
_cell_angle_gamma 90.00
_symmetry_space_group_name_H-M 'P 1'
_symmetry_Int_Tables_number 1
loop_
_symmetry_equiv_pos_as_xyz
'x,y,z'
loop_
_atom_site_label
_atom_site_type_symbol
_atom_site_fract_x
_atom_site_fract_y
_atom_site_fract_z
Nd1 Nd 0.0594 0.1235 0.0000
Nd2 Nd 0.0959 0.6220 0.9372
Nd3 Nd 0.4041 0.1220 0.4372
Nd4 Nd 0.4406 0.6235 0.5000
Nd5 Nd 0.5594 0.3765 0.0000
Nd6 Nd 0.5959 0.8780 0.9372
Nd7 Nd 0.9041 0.3780 0.4372
Nd8 Nd 0.9406 0.8765 0.5000
Os1 Os 0.1660 0.3761 0.4321
Os2 Os 0.1701 0.8770 0.4278
Os3 Os 0.3299 0.3770 0.9278
Os4 Os 0.3340 0.8761 0.9321
Os5 Os 0.6660 0.1239 0.4321
Os6 Os 0.6701 0.6230 0.4278
Os7 Os 0.8299 0.1230 0.9278
Os8 Os 0.8340 0.6239 0.9321
O1 O 0.0502 0.4003 0.2479
O2 O 0.0603 0.8451 0.2315
O3 O 0.0821 0.8972 0.7091
O4 O 0.1060 0.3423 0.7318
O5 O 0.1615 0.1255 0.3496
O6 O 0.1686 0.6263 0.5240
O7 O 0.2227 0.8214 0.1085
O8 O 0.2311 0.4192 0.1359
O9 O 0.2689 0.9192 0.6359
O10 O 0.2773 0.3214 0.6085
O11 O 0.3314 0.1263 0.0240
O12 O 0.3385 0.6255 0.8496
O13 O 0.3940 0.8423 0.2318
O14 O 0.4179 0.3972 0.2091
O15 O 0.4397 0.3451 0.7315
O16 O 0.4498 0.9003 0.7479
O17 O 0.5502 0.0997 0.2479
O18 O 0.5603 0.6549 0.2315
O19 O 0.5821 0.6028 0.7091
O20 O 0.6060 0.1577 0.7318
O21 O 0.6615 0.3745 0.3496
O22 O 0.6686 0.8737 0.5240
O23 O 0.7227 0.6786 0.1085
O24 O 0.7311 0.0808 0.1359
O25 O 0.7689 0.5808 0.6359
O26 O 0.7773 0.1786 0.6085
O27 O 0.8314 0.3737 0.0240
O28 O 0.8385 0.8745 0.8496
O29 O 0.8940 0.6577 0.2318
O30 O 0.9179 0.1028 0.2091
O31 O 0.9397 0.1549 0.7315
O32 O 0.9498 0.5997 0.7479
```

Peak list (8 most intense, 10° ≤ 2θ ≤ 90°, by angle)
| Position (°2θ) | intensity |
| --- | --- |
| 24.13 | 22 |
| 28.54 | 99 |
| 29.16 | 100 |
| 32.59 | 33 |
| 33.68 | 38 |
| 47.85 | 26 |
| 50.81 | 41 |
| 56.67 | 30 |

Please write out number 3 again, unchanged.
The following is a calculated powder X-ray diffraction pattern of NdOsO4. It was derived from a structure optimized by DFT (PBE), using Cu Kα X-rays.
No peak broadening, texture or thermal motion is included.

Atomic structure:
```
data_NdOsO4
_cell_length_a 15.2107
_cell_length_b 7.6032
_cell_length_c 5.4958
_cell_angle_alpha 90.00
_cell_angle_beta 90.00
_cell_angle_gamma 90.00
_symmetry_space_group_name_H-M 'P 1'
_symmetry_Int_Tables_number 1
loop_
_symmetry_equiv_pos_as_xyz
'x,y,z'
loop_
_atom_site_label
_atom_site_type_symbol
_atom_site_fract_x
_atom_site_fract_y
_atom_site_fract_z
Nd1 Nd 0.0594 0.1235 0.0000
Nd2 Nd 0.0959 0.6220 0.9372
Nd3 Nd 0.4041 0.1220 0.4372
Nd4 Nd 0.4406 0.6235 0.5000
Nd5 Nd 0.5594 0.3765 0.0000
Nd6 Nd 0.5959 0.8780 0.9372
Nd7 Nd 0.9041 0.3780 0.4372
Nd8 Nd 0.9406 0.8765 0.5000
Os1 Os 0.1660 0.3761 0.4321
Os2 Os 0.1701 0.8770 0.4278
Os3 Os 0.3299 0.3770 0.9278
Os4 Os 0.3340 0.8761 0.9321
Os5 Os 0.6660 0.1239 0.4321
Os6 Os 0.6701 0.6230 0.4278
Os7 Os 0.8299 0.1230 0.9278
Os8 Os 0.8340 0.6239 0.9321
O1 O 0.0502 0.4003 0.2479
O2 O 0.0603 0.8451 0.2315
O3 O 0.0821 0.8972 0.7091
O4 O 0.1060 0.3423 0.7318
O5 O 0.1615 0.1255 0.3496
O6 O 0.1686 0.6263 0.5240
O7 O 0.2227 0.8214 0.1085
O8 O 0.2311 0.4192 0.1359
O9 O 0.2689 0.9192 0.6359
O10 O 0.2773 0.3214 0.6085
O11 O 0.3314 0.1263 0.0240
O12 O 0.3385 0.6255 0.8496
O13 O 0.3940 0.8423 0.2318
O14 O 0.4179 0.3972 0.2091
O15 O 0.4397 0.3451 0.7315
O16 O 0.4498 0.9003 0.7479
O17 O 0.5502 0.0997 0.2479
O18 O 0.5603 0.6549 0.2315
O19 O 0.5821 0.6028 0.7091
O20 O 0.6060 0.1577 0.7318
O21 O 0.6615 0.3745 0.3496
O22 O 0.6686 0.8737 0.5240
O23 O 0.7227 0.6786 0.1085
O24 O 0.7311 0.0808 0.1359
O25 O 0.7689 0.5808 0.6359
O26 O 0.7773 0.1786 0.6085
O27 O 0.8314 0.3737 0.0240
O28 O 0.8385 0.8745 0.8496
O29 O 0.8940 0.6577 0.2318
O30 O 0.9179 0.1028 0.2091
O31 O 0.9397 0.1549 0.7315
O32 O 0.9498 0.5997 0.7479
```

Peak list (8 most intense, 10° ≤ 2θ ≤ 90°, by angle)
| Position (°2θ) | intensity |
| --- | --- |
| 24.13 | 22 |
| 28.54 | 99 |
| 29.16 | 100 |
| 32.59 | 33 |
| 33.68 | 38 |
| 47.85 | 26 |
| 50.81 | 41 |
| 56.67 | 30 |

> What is the formula in the third record?

NdOsO4